[1]
The following is a calculated powder diffractogram of Ta2GaF. It was derived from DFT lattice parameters and positions (GGA-PBE), using Cu Ka.
No peak broadening, texture or thermal motion is included.

Main lines, by angle (10 to 90 degrees two-theta):
2θ 24.7, I = 3; 2θ 28.6, I = 44; 2θ 40.8, I = 100; 2θ 48.3, I = 2; 2θ 50.6, I = 13; 2θ 59.1, I = 17; 2θ 65.1, I = 1; 2θ 67.0, I = 17; 2θ 74.4, I = 34; 2θ 88.5, I = 11

Cell and atoms:
Cell lengths 4.4183, 4.4183, 4.4183 Å; angles 60.00, 60.00, 60.00 degrees
Element x y z (fractional)
Ta 0.2500 0.2500 0.2500
Ta 0.7500 0.7500 0.7500
Ga 0.0000 0.0000 0.0000
F 0.5000 0.5000 0.5000

[2]
The following is a calculated powder diffractogram of CaYNi2As2. It was derived from DFT lattice parameters and positions (GGA-PBE), using Cu Ka.
No peak broadening, texture or thermal motion is included.

Main lines, by angle (10 to 90 degrees two-theta):
2θ 11.0, I = 13; 2θ 22.0, I = 15; 2θ 33.9, I = 100; 2θ 44.8, I = 52; 2θ 44.9, I = 16; 2θ 50.5, I = 10; 2θ 57.3, I = 21; 2θ 65.3, I = 31; 2θ 75.5, I = 18; 2θ 75.8, I = 8

Cell and atoms:
Cell lengths 4.0473, 4.0473, 8.0676 Å; angles 90.00, 90.00, 120.00 degrees
Element x y z (fractional)
Ca 0.0000 0.0000 0.0000
Y 0.0000 0.0000 0.5000
Ni 0.3333 0.6667 0.7371
Ni 0.6667 0.3333 0.2629
As 0.3333 0.6667 0.2562
As 0.6667 0.3333 0.7438

Question: Which formula does entry 2 have?
Answer: CaYNi2As2